[1]
Computed powder X-ray diffraction pattern of TaPO5 for λ = 1.5418 Å (Cu Kα), from a structure optimized by DFT (PBE).

Cell and atoms:
```
data_TaPO5
_chemical_formula_sum 'Ta4 P4 O20'
_space_group_name_H-M_alt 'P 1 21/m 1'
_space_group_IT_number 11
_space_group_name_Hall '-P 2yb'
_cell_length_a 6.7763
_cell_length_b 5.4074
_cell_length_c 11.4234
_cell_angle_alpha 90.00
_cell_angle_beta 90.22
_cell_angle_gamma 90.00
loop_
_atom_site_label
_atom_site_type_symbol
_atom_site_fract_x
_atom_site_fract_y
_atom_site_fract_z
_atom_site_occupancy
Ta1 Ta 0.1679 0.2500 0.4362 1
Ta2 Ta 0.3301 0.2500 0.9381 1
P1 P 0.0254 0.7500 0.8470 1
P2 P 0.4710 0.7500 0.3453 1
O1 O 0.0000 0.0000 0.5000 1
O2 O 0.0243 0.2500 0.2851 1
O3 O 0.1427 0.5155 0.8757 1
O4 O 0.1705 0.2500 0.0846 1
O5 O 0.3412 0.2500 0.5775 1
O6 O 0.3503 0.5157 0.3685 1
O7 O 0.4629 0.2500 0.7840 1
O8 O 0.5000 0.0000 0.0000 1
```

Main lines, sorted by position (15 to 90 degrees two-theta):
2theta  intensity  h k l
15.20  27  1 0 1
15.51  55  0 0 2
20.33  69  1 0 2
21.02  100  1 1 0
22.43  44  1 1 1
26.23  57  1 1 -2
32.15  47  2 1 -1
35.55  36  0 1 4

=====

[2]
Computed powder X-ray diffraction pattern of K2ScCuCl6 for λ = 1.5418 Å (Cu Kα), from a structure optimized by DFT (PBE).

Cell and atoms:
```
data_K2ScCuCl6
_chemical_formula_sum 'K8 Sc4 Cu4 Cl24'
_space_group_name_H-M_alt 'F m -3 m'
_space_group_IT_number 225
_space_group_name_Hall '-F 4 2 3'
_cell_length_a 10.0733
_cell_length_b 10.0733
_cell_length_c 10.0733
_cell_angle_alpha 90.00
_cell_angle_beta 90.00
_cell_angle_gamma 90.00
loop_
_atom_site_label
_atom_site_type_symbol
_atom_site_fract_x
_atom_site_fract_y
_atom_site_fract_z
_atom_site_occupancy
K1 K 0.2500 0.2500 0.2500 1
Sc1 Sc 0.0000 0.0000 0.0000 1
Cu1 Cu 0.0000 0.0000 0.5000 1
Cl1 Cl 0.0000 0.0000 0.2483 1
```

Main lines, sorted by position (15 to 90 degrees two-theta):
2theta  intensity  h k l
17.61  42  2 0 0
25.00  47  2 2 0
30.75  41  2 2 2
35.65  100  4 0 0
44.04  20  4 2 2
51.31  62  4 4 0
64.04  20  4 4 4
86.39  25  8 4 0

=====

[3]
Computed powder X-ray diffraction pattern of LiTiP4O12 for λ = 1.5418 Å (Cu Kα), from a structure optimized by DFT (PBE).

Cell and atoms:
```
data_LiTiP4O12
_chemical_formula_sum 'Li4 Ti4 P16 O48'
_space_group_name_H-M_alt 'C 1 2/c 1'
_space_group_IT_number 15
_space_group_name_Hall '-C 2yc'
_cell_length_a 11.9223
_cell_length_b 8.3720
_cell_length_c 10.0981
_cell_angle_alpha 90.00
_cell_angle_beta 119.28
_cell_angle_gamma 90.00
loop_
_atom_site_label
_atom_site_type_symbol
_atom_site_fract_x
_atom_site_fract_y
_atom_site_fract_z
_atom_site_occupancy
Li1 Li 0.2500 0.2500 0.0000 1
Ti1 Ti 0.0000 0.0546 0.7500 1
P1 P 0.0101 0.2631 0.4780 1
P2 P 0.2001 0.4911 0.6993 1
O1 O 0.0325 0.1228 0.4021 1
O2 O 0.0408 0.2322 0.9128 1
O3 O 0.0829 0.3839 0.1520 1
O4 O 0.1417 0.3608 0.5620 1
O5 O 0.1954 0.0742 0.8192 1
O6 O 0.2305 0.4202 0.8467 1
```

Main lines, sorted by position (15 to 90 degrees two-theta):
2theta  intensity  h k l
17.05  24  2 0 0
19.00  55  2 0 -2
20.58  60  1 1 -2
26.00  46  3 1 -2
27.35  56  2 2 0
27.86  44  3 1 0
29.44  100  0 2 2
34.50  23  4 0 0

=====

[4]
Computed powder X-ray diffraction pattern of Fe5Ni7S16 for λ = 1.5418 Å (Cu Kα), from a structure optimized by DFT (PBE).

Cell and atoms:
```
data_Fe5Ni7S16
_chemical_formula_sum 'Fe10 Ni14 S32'
_space_group_name_H-M_alt 'P 1'
_space_group_IT_number 1
_space_group_name_Hall 'P 1'
_cell_length_a 6.6470
_cell_length_b 6.7152
_cell_length_c 21.9632
_cell_angle_alpha 82.05
_cell_angle_beta 81.66
_cell_angle_gamma 60.58
loop_
_atom_site_label
_atom_site_type_symbol
_atom_site_fract_x
_atom_site_fract_y
_atom_site_fract_z
_atom_site_occupancy
Fe1 Fe 0.0000 0.0000 0.0000 1
Fe2 Fe 0.0062 0.5006 0.5010 1
Fe3 Fe 0.1286 0.6239 0.6233 1
Fe4 Fe 0.2194 0.7213 0.3421 1
Fe5 Fe 0.2507 0.7497 0.7495 1
Fe6 Fe 0.3741 0.8758 0.8762 1
Fe7 Fe 0.4937 0.5006 0.5011 1
Fe8 Fe 0.5017 0.0000 0.0003 1
Fe9 Fe 0.6277 0.1216 0.1219 1
Fe10 Fe 0.7509 0.2495 0.2494 1
Ni1 Ni 0.0004 0.0012 0.4996 1
Ni2 Ni 0.0311 0.5303 0.9056 1
Ni3 Ni 0.2514 0.2496 0.2497 1
Ni4 Ni 0.2511 0.2495 0.7497 1
Ni5 Ni 0.2835 0.7774 0.1568 1
Ni6 Ni 0.4715 0.9685 0.5941 1
Ni7 Ni 0.5009 0.4998 0.9997 1
Ni8 Ni 0.5319 0.0281 0.4064 1
Ni9 Ni 0.7185 0.2221 0.8425 1
Ni10 Ni 0.7510 0.7504 0.2495 1
Ni11 Ni 0.7509 0.7498 0.7497 1
Ni12 Ni 0.7836 0.2778 0.6568 1
Ni13 Ni 0.8768 0.3745 0.3748 1
Ni14 Ni 0.9711 0.4686 0.0940 1
S1 S 0.0518 0.0756 0.3102 1
S2 S 0.0579 0.5575 0.3113 1
S3 S 0.0682 0.5666 0.8058 1
S4 S 0.0865 0.0482 0.8108 1
S5 S 0.1673 0.2007 0.4404 1
S6 S 0.1891 0.6818 0.4408 1
S7 S 0.1960 0.1688 0.9395 1
S8 S 0.1957 0.7001 0.9388 1
S9 S 0.3048 0.8016 0.5605 1
S10 S 0.3070 0.3283 0.5610 1
S11 S 0.3142 0.8177 0.0563 1
S12 S 0.3345 0.3014 0.0603 1
S13 S 0.4166 0.4502 0.6887 1
S14 S 0.4339 0.9325 0.6937 1
S15 S 0.4507 0.9490 0.1875 1
S16 S 0.4551 0.4112 0.1881 1
S17 S 0.5487 0.5864 0.8110 1
S18 S 0.5515 0.0505 0.8115 1
S19 S 0.5679 0.0658 0.3056 1
S20 S 0.5766 0.5509 0.3101 1
S21 S 0.6661 0.6996 0.9391 1
S22 S 0.6877 0.1820 0.9431 1
S23 S 0.6932 0.2014 0.4400 1
S24 S 0.6977 0.6646 0.4410 1
S25 S 0.8062 0.3001 0.0605 1
S26 S 0.8077 0.8279 0.0601 1
S27 S 0.8126 0.3217 0.5561 1
S28 S 0.8359 0.8017 0.5603 1
S29 S 0.9140 0.9531 0.1882 1
S30 S 0.9341 0.4326 0.1941 1
S31 S 0.9505 0.4487 0.6880 1
S32 S 0.9522 0.9144 0.6886 1
```

Main lines, sorted by position (15 to 90 degrees two-theta):
2theta  intensity  h k l
31.15  81  1 -1 4
31.42  86  1 1 -6
31.54  78  1 0 7
31.66  49  2 1 5
38.10  100  0 2 6
38.16  50  2 0 6
54.46  46  2 -2 0
55.27  87  4 2 2

=====

[5]
Computed powder X-ray diffraction pattern of DyErAg2 for λ = 1.5418 Å (Cu Kα), from a structure optimized by DFT (PBE).

Cell and atoms:
```
data_DyErAg2
_chemical_formula_sum 'Dy4 Er4 Ag8'
_space_group_name_H-M_alt 'F m -3 m'
_space_group_IT_number 225
_space_group_name_Hall '-F 4 2 3'
_cell_length_a 7.2516
_cell_length_b 7.2516
_cell_length_c 7.2516
_cell_angle_alpha 90.00
_cell_angle_beta 90.00
_cell_angle_gamma 90.00
loop_
_atom_site_label
_atom_site_type_symbol
_atom_site_fract_x
_atom_site_fract_y
_atom_site_fract_z
_atom_site_occupancy
Dy1 Dy 0.0000 0.0000 0.0000 1
Er1 Er 0.0000 0.0000 0.5000 1
Ag1 Ag 0.2500 0.2500 0.2500 1
```

Main lines, sorted by position (15 to 90 degrees two-theta):
2theta  intensity  h k l
24.55  4  2 0 0
35.00  100  2 2 0
43.22  1  2 2 2
50.33  18  4 0 0
56.78  2  4 2 0
62.77  36  4 2 2
73.94  11  4 4 0
84.50  16  6 2 0

=====

[6]
Computed powder X-ray diffraction pattern of Ba4Bi3O11 for λ = 1.5418 Å (Cu Kα), from a structure optimized by DFT (PBE).

Cell and atoms:
```
data_Ba4Bi3O11
_chemical_formula_sum 'Ba8 Bi6 O22'
_space_group_name_H-M_alt 'A m m 2'
_space_group_IT_number 38
_space_group_name_Hall 'A 2 -2'
_cell_length_a 8.9353
_cell_length_b 8.7914
_cell_length_c 8.7924
_cell_angle_alpha 90.00
_cell_angle_beta 90.00
_cell_angle_gamma 90.00
loop_
_atom_site_label
_atom_site_type_symbol
_atom_site_fract_x
_atom_site_fract_y
_atom_site_fract_z
_atom_site_occupancy
Ba1 Ba 0.2445 0.2305 0.0000 1
Bi1 Bi 0.0000 0.0000 0.2423 1
Bi2 Bi 0.0000 0.0000 0.7333 1
Bi3 Bi 0.5000 0.0000 0.7321 1
O1 O 0.0000 0.0000 0.4865 1
O2 O 0.0000 0.0000 0.9841 1
O3 O 0.0000 0.2494 0.7263 1
O4 O 0.2312 0.0000 0.2309 1
O5 O 0.2506 0.0000 0.7330 1
O6 O 0.5000 0.0000 0.9629 1
O7 O 0.5000 0.2033 0.6213 1
```

Main lines, sorted by position (15 to 90 degrees two-theta):
2theta  intensity  h k l
17.38  14  1 1 1
28.49  100  2 0 2
28.72  54  0 2 2
40.38  15  4 0 0
41.07  26  0 4 0
50.30  23  4 2 2
50.74  41  2 2 4
58.95  17  4 4 0

=====

[7]
Computed powder X-ray diffraction pattern of LiNd2H6O6 for λ = 1.5418 Å (Cu Kα), from a structure optimized by DFT (PBE).

Cell and atoms:
```
data_LiNd2H6O6
_chemical_formula_sum 'Li1 Nd2 H6 O6'
_space_group_name_H-M_alt 'P 1 m 1'
_space_group_IT_number 6
_space_group_name_Hall 'P -2y'
_cell_length_a 6.7019
_cell_length_b 3.8547
_cell_length_c 7.6292
_cell_angle_alpha 90.00
_cell_angle_beta 96.83
_cell_angle_gamma 90.00
loop_
_atom_site_label
_atom_site_type_symbol
_atom_site_fract_x
_atom_site_fract_y
_atom_site_fract_z
_atom_site_occupancy
Li1 Li 0.0000 0.0000 0.0000 1
Nd1 Nd 0.1944 0.5000 0.3956 1
Nd2 Nd 0.7090 0.0000 0.5459 1
H1 H 0.1614 0.0000 0.6866 1
H2 H 0.2150 0.5000 0.0224 1
H3 H 0.4185 0.0000 0.1970 1
H4 H 0.4867 0.5000 0.7340 1
H5 H 0.6440 0.0000 0.9056 1
H6 H 0.7611 0.5000 0.2472 1
O1 O 0.0845 0.0000 0.5677 1
O2 O 0.1001 0.5000 0.0931 1
O3 O 0.4006 0.0000 0.3238 1
O4 O 0.5001 0.5000 0.6066 1
O5 O 0.7632 0.0000 0.8419 1
O6 O 0.8227 0.5000 0.3703 1
```

Main lines, sorted by position (15 to 90 degrees two-theta):
2theta  intensity  h k l
16.65  31  1 0 -1
25.94  21  0 1 1
26.75  100  1 1 0
28.59  51  1 1 -1
36.55  25  1 0 -3
42.81  25  0 1 3
47.28  20  3 1 0
48.73  26  2 1 -3

=====

[8]
Computed powder X-ray diffraction pattern of GdMn12 for λ = 1.5418 Å (Cu Kα), from a structure optimized by DFT (PBE).

Cell and atoms:
```
data_GdMn12
_chemical_formula_sum 'Gd2 Mn24'
_space_group_name_H-M_alt 'I 4/m m m'
_space_group_IT_number 139
_space_group_name_Hall '-I 4 2'
_cell_length_a 8.3160
_cell_length_b 8.3160
_cell_length_c 4.6251
_cell_angle_alpha 90.00
_cell_angle_beta 90.00
_cell_angle_gamma 90.00
loop_
_atom_site_label
_atom_site_type_symbol
_atom_site_fract_x
_atom_site_fract_y
_atom_site_fract_z
_atom_site_occupancy
Gd1 Gd 0.0000 0.0000 0.0000 1
Mn1 Mn 0.0000 0.2270 0.5000 1
Mn2 Mn 0.0000 0.3613 0.0000 1
Mn3 Mn 0.2500 0.2500 0.2500 1
```

Main lines, sorted by position (15 to 90 degrees two-theta):
2theta  intensity  h k l
30.85  43  2 1 1
37.84  46  3 0 1
43.53  59  4 0 0
43.86  100  3 2 1
44.85  71  2 0 2
50.19  21  2 2 2
73.95  19  3 2 3
80.16  19  6 3 1